[1]
This entry pairs a crystal structure of Al2RhC4Cl7O4 with its theoretical powder XRD pattern. Radiation: CuKα. Structure: the PBE geometry in the Materials Project.
Lines closer than 0.1° are merged.

Unit cell a=9.8240 b=9.8826 c=10.3570 alpha=76.48 beta=76.07 gamma=66.16
Space group P-1 (No. 2)
Unique sites:
1 Al 0.1695 0.3035 0.1768
2 Al 0.2996 0.9332 0.4188
3 Rh 0.0000 0.0000 0.0000
4 Rh 0.5000 0.5000 0.5000
5 C 0.0612 0.1455 0.8579
6 C 0.2100 0.8583 0.9779
7 C 0.3003 0.4928 0.5122
8 C 0.4658 0.4777 0.6979
9 Cl 0.0626 0.6214 0.8406
10 Cl 0.1800 0.1849 0.3959
11 Cl 0.1883 0.8482 0.3213
12 Cl 0.2448 0.4785 0.1748
13 Cl 0.2628 0.8658 0.6316
14 Cl 0.3148 0.1467 0.0471
15 Cl 0.4677 0.1193 0.6634
16 O 0.0959 0.2294 0.7743
17 O 0.1845 0.4868 0.5216
18 O 0.3329 0.7773 0.9649
19 O 0.4454 0.4616 0.8128

Largest 12 diffraction maxima, in order of rising 2θ, 2θ from 10° to 80°:
- 11.17°, rel. 21
- 12.21°, rel. 27
- 14.45°, rel. 81
- 18.20°, rel. 35
- 18.60°, rel. 58
- 26.51°, rel. 26
- 27.25°, rel. 23
- 27.87°, rel. 20
- 28.24°, rel. 21
- 29.88°, rel. 28
- 30.00°, rel. 35
- 30.16°, rel. 100



[2]
This entry pairs a crystal structure of AlCr2C with its theoretical powder XRD pattern. Radiation: CuKα. Structure: the PBE geometry in the Materials Project.
Lines closer than 0.1° are merged.

Unit cell a=2.8430 b=2.8430 c=12.7080 alpha=90.00 beta=90.00 gamma=120.00
Space group P6_3/mmc (No. 194)
Unique sites:
1 Al 0.3333 0.6667 0.2500
2 Cr 0.3333 0.6667 0.5847
3 C 0.0000 0.0000 0.0000

Largest 12 diffraction maxima, in order of rising 2θ, 2θ from 10° to 80°:
- 13.94°, rel. 31
- 28.09°, rel. 1
- 36.49°, rel. 19
- 37.20°, rel. 6
- 42.47°, rel. 100
- 42.69°, rel. 19
- 46.67°, rel. 3
- 57.39°, rel. 16
- 65.68°, rel. 18
- 67.52°, rel. 2
- 77.54°, rel. 2
- 78.01°, rel. 14



[3]
This entry pairs a crystal structure of Al3H36C12N3F4 with its theoretical powder XRD pattern. Radiation: CuKα. Structure: the PBE geometry in the Materials Project.
Lines closer than 0.1° are merged.

Unit cell a=8.5814 b=25.6144 c=6.0747 alpha=90.00 beta=90.29 gamma=90.00
Space group Cm (No. 8)
Unique sites:
1 Al 0.0000 0.0000 0.0000
2 Al 0.0093 0.3345 0.9717
3 H 0.9999 0.2485 0.5204
4 H 0.1037 0.1190 0.7319
5 H 0.1038 0.2136 0.7323
6 H 0.1051 0.4530 0.7289
7 H 0.1393 0.2015 0.2397
8 H 0.1404 0.4649 0.2377
9 H 0.1411 0.1315 0.2389
10 H 0.2451 0.5000 0.4491
11 H 0.2456 0.1663 0.4479
12 H 0.2528 0.0000 0.4483
13 H 0.2533 0.3332 0.4495
14 H 0.3564 0.0352 0.2372
15 H 0.3572 0.3683 0.2385
16 H 0.3587 0.2983 0.2392
17 H 0.3933 0.3806 0.7295
18 H 0.3944 0.0466 0.7299
19 H 0.3939 0.2867 0.7305
20 H 0.4987 0.0825 0.5216
21 H 0.4988 0.4162 0.5219
22 C 0.1417 0.1663 0.3420
23 C 0.1421 0.5000 0.3419
24 C 0.3552 0.0000 0.3411
25 C 0.3558 0.3334 0.3418
26 C 0.4992 0.0478 0.6274
27 C 0.4992 0.2859 0.6278
28 C 0.4987 0.3814 0.6277
29 N 0.4989 0.0000 0.4832
30 N 0.4991 0.3335 0.4852
31 F 0.1557 0.0000 0.8143
32 F 0.3415 0.5000 0.8160
33 F 0.4980 0.2206 0.1449

Largest 12 diffraction maxima, in order of rising 2θ, 2θ from 10° to 80°:
- 13.83°, rel. 6
- 14.62°, rel. 5
- 16.15°, rel. 7
- 20.71°, rel. 100
- 20.81°, rel. 20
- 33.01°, rel. 3
- 36.19°, rel. 8
- 36.34°, rel. 21
- 36.42°, rel. 6
- 52.37°, rel. 4
- 56.85°, rel. 6
- 65.19°, rel. 4



[4]
This entry pairs a crystal structure of Al3H36C12N3F4 with its theoretical powder XRD pattern. Radiation: CuKα. Structure: the PBE geometry in the Materials Project.
Lines closer than 0.1° are merged.

Unit cell a=8.6275 b=25.8673 c=6.1016 alpha=90.00 beta=90.00 gamma=90.00
Space group Cmm2 (No. 35)
Unique sites:
1 Al 0.0000 0.0000 0.0000
2 Al 0.0000 0.3348 0.9837
3 H 0.0000 0.0848 0.5251
4 H 0.0000 0.2484 0.5246
5 H 0.0000 0.4182 0.5250
6 H 0.1045 0.1196 0.7335
7 H 0.1043 0.2137 0.7338
8 H 0.1045 0.4530 0.7332
9 H 0.1413 0.1319 0.2429
10 H 0.1409 0.2015 0.2429
11 H 0.1411 0.4653 0.2424
12 H 0.2453 0.5000 0.4514
13 H 0.2456 0.1666 0.4513
14 C 0.0000 0.1192 0.6301
15 C 0.0000 0.2142 0.6302
16 C 0.0000 0.4526 0.6308
17 C 0.1422 0.1667 0.3455
18 C 0.1424 0.5000 0.3463
19 N 0.0000 0.1667 0.4886
20 N 0.0000 0.5000 0.4881
21 F 0.0000 0.2793 0.1496
22 F 0.1612 0.0000 0.8239

Largest 12 diffraction maxima, in order of rising 2θ, 2θ from 10° to 80°:
- 13.69°, rel. 5
- 14.52°, rel. 5
- 16.06°, rel. 6
- 20.59°, rel. 100
- 26.23°, rel. 2
- 32.83°, rel. 4
- 36.07°, rel. 29
- 41.89°, rel. 5
- 51.93°, rel. 5
- 56.44°, rel. 12
- 64.85°, rel. 7
- 68.84°, rel. 3



[5]
This entry pairs a crystal structure of AlH14C4NOF4 with its theoretical powder XRD pattern. Radiation: CuKα. Structure: the PBE geometry in the Materials Project.
Lines closer than 0.1° are merged.

Unit cell a=6.9255 b=9.2457 c=9.7383 alpha=71.21 beta=73.83 gamma=82.45
Space group P-1 (No. 2)
Unique sites:
1 Al 0.1335 0.4616 0.3798
2 H 0.0318 0.2249 0.0141
3 H 0.0492 0.0571 0.1695
4 H 0.0971 0.2431 0.1738
5 H 0.1051 0.6787 0.2044
6 H 0.1448 0.8097 0.5859
7 H 0.1803 0.5701 0.7936
8 H 0.2036 0.9878 0.5984
9 H 0.2172 0.2394 0.7308
10 H 0.2458 0.5883 0.9540
11 H 0.2885 0.0006 0.8154
12 H 0.3116 0.8276 0.9651
13 H 0.4001 0.8428 0.5701
14 H 0.4300 0.6184 0.7769
15 H 0.4927 0.8626 0.7867
16 C 0.0097 0.1800 0.1358
17 C 0.2423 0.8649 0.6235
18 C 0.2706 0.6306 0.8317
19 C 0.3349 0.8792 0.8437
20 N 0.2092 0.7980 0.7905
21 O 0.1768 0.5767 0.2014
22 F 0.0389 0.1906 0.7508
23 F 0.1353 0.5484 0.5215
24 F 0.2347 0.2837 0.4003
25 F 0.3580 0.2753 0.7197

Largest 12 diffraction maxima, in order of rising 2θ, 2θ from 10° to 80°:
- 10.12°, rel. 50
- 13.33°, rel. 71
- 15.48°, rel. 100
- 16.18°, rel. 36
- 18.55°, rel. 19
- 19.71°, rel. 21
- 19.93°, rel. 33
- 21.86°, rel. 33
- 26.50°, rel. 16
- 28.43°, rel. 14
- 30.07°, rel. 19
- 34.16°, rel. 23



Copy entry 1 word for word.
This entry pairs a crystal structure of Al2RhC4Cl7O4 with its theoretical powder XRD pattern. Radiation: CuKα. Structure: the PBE geometry in the Materials Project.
Lines closer than 0.1° are merged.

Unit cell a=9.8240 b=9.8826 c=10.3570 alpha=76.48 beta=76.07 gamma=66.16
Space group P-1 (No. 2)
Unique sites:
1 Al 0.1695 0.3035 0.1768
2 Al 0.2996 0.9332 0.4188
3 Rh 0.0000 0.0000 0.0000
4 Rh 0.5000 0.5000 0.5000
5 C 0.0612 0.1455 0.8579
6 C 0.2100 0.8583 0.9779
7 C 0.3003 0.4928 0.5122
8 C 0.4658 0.4777 0.6979
9 Cl 0.0626 0.6214 0.8406
10 Cl 0.1800 0.1849 0.3959
11 Cl 0.1883 0.8482 0.3213
12 Cl 0.2448 0.4785 0.1748
13 Cl 0.2628 0.8658 0.6316
14 Cl 0.3148 0.1467 0.0471
15 Cl 0.4677 0.1193 0.6634
16 O 0.0959 0.2294 0.7743
17 O 0.1845 0.4868 0.5216
18 O 0.3329 0.7773 0.9649
19 O 0.4454 0.4616 0.8128

Largest 12 diffraction maxima, in order of rising 2θ, 2θ from 10° to 80°:
- 11.17°, rel. 21
- 12.21°, rel. 27
- 14.45°, rel. 81
- 18.20°, rel. 35
- 18.60°, rel. 58
- 26.51°, rel. 26
- 27.25°, rel. 23
- 27.87°, rel. 20
- 28.24°, rel. 21
- 29.88°, rel. 28
- 30.00°, rel. 35
- 30.16°, rel. 100